# 1
Structure and theoretical powder X-ray diffraction pattern of Li2Mg2Si4O11 (a structure optimized by DFT (PBE); CuKα).

Top 8 peaks for 2θ from 10° to 90°, by intensity:
index  d_spacing  2θ (°)  I_rel
2 -2 0  2.856  31.32  100
2 1 -1  2.790  32.08  91
0 1 1  4.885  18.16  70
1 1 -2  3.529  25.23  62
0 2 1  3.021  29.57  55
0 1 2  3.291  27.10  55
1 -2 1  3.412  26.12  46
-4 1 1  1.740  52.61  43

Structural model:
```
data_Li2Mg2Si4O11
_symmetry_space_group_name_H-M 'P -1'
_symmetry_Int_Tables_number 2
_symmetry_space_group_name_Hall '-P 1'
_cell_length_a 6.9605
_cell_length_b 7.5025
_cell_length_c 8.7520
_cell_angle_alpha 99.46
_cell_angle_beta 101.06
_cell_angle_gamma 104.81
loop_
_atom_site_label
_atom_site_type_symbol
_atom_site_fract_x
_atom_site_fract_y
_atom_site_fract_z
Li1 Li 0.1104 0.2942 0.1955
Li2 Li 0.3581 0.7461 0.8482
Mg1 Mg 0.1311 0.8802 0.6011
Mg2 Mg 0.3823 0.1197 0.3893
Si1 Si 0.0214 0.7243 0.2256
Si2 Si 0.2595 0.1083 0.9683
Si3 Si 0.2675 0.4748 0.5951
Si4 Si 0.4596 0.7257 0.2334
O1 O 0.0859 0.9100 0.3703
O2 O 0.1005 0.2400 0.9416
O3 O 0.1186 0.4614 0.7258
O4 O 0.1745 0.3053 0.4360
O5 O 0.1758 0.9060 0.8413
O6 O 0.2096 0.6511 0.1815
O7 O 0.3168 0.1178 0.1559
O8 O 0.3175 0.6945 0.5840
O9 O 0.4367 0.0840 0.6262
O10 O 0.4753 0.2398 0.9332
O11 O 0.4796 0.4524 0.7056
```


# 2
Structure and theoretical powder X-ray diffraction pattern of Os3W (a structure optimized by DFT (PBE); CuKα).

Top 8 peaks for 2θ from 10° to 90°, by intensity:
index  d_spacing  2θ (°)  I_rel
2 0 1  2.115  42.76  100
0 0 2  2.204  40.96  25
2 0 0  2.411  37.30  24
2 2 2  1.177  81.86  21
2 0 3  1.254  75.84  19
2 2 0  1.392  67.27  18
4 0 1  1.163  83.07  15
2 0 2  1.626  56.59  15

Structural model:
```
data_Os3W
_symmetry_space_group_name_H-M 'P 63/m m c'
_symmetry_Int_Tables_number 194
_symmetry_space_group_name_Hall '-P 6c 2c'
_cell_length_a 5.5670
_cell_length_b 5.5670
_cell_length_c 4.4072
_cell_angle_alpha 90.00
_cell_angle_beta 90.00
_cell_angle_gamma 120.00
loop_
_atom_site_label
_atom_site_type_symbol
_atom_site_fract_x
_atom_site_fract_y
_atom_site_fract_z
Os1 Os 0.1666 0.3331 0.2500
W1 W 0.3333 0.6667 0.7500
```


# 3
Structure and theoretical powder X-ray diffraction pattern of Y2NiRu3 (a structure optimized by DFT (PBE); CuKα).

Top 8 peaks for 2θ from 10° to 90°, by intensity:
index  d_spacing  2θ (°)  I_rel
1 1 3  2.248  40.12  100
0 2 1  2.241  40.24  80
2 0 2  2.148  42.07  72
0 1 5  2.260  39.89  53
1 0 4  2.647  33.86  45
2 0 8  1.324  71.24  31
2 2 0  1.314  71.87  30
1 2 5  1.435  64.98  24

Structural model:
```
data_Y2NiRu3
_symmetry_space_group_name_H-M 'R -3 m'
_symmetry_Int_Tables_number 166
_symmetry_space_group_name_Hall '-R 3 2"'
_cell_length_a 5.2545
_cell_length_b 5.2545
_cell_length_c 13.0205
_cell_angle_alpha 90.00
_cell_angle_beta 90.00
_cell_angle_gamma 120.00
loop_
_atom_site_label
_atom_site_type_symbol
_atom_site_fract_x
_atom_site_fract_y
_atom_site_fract_z
Y1 Y 0.0000 0.0000 0.1239
Ni1 Ni 0.0000 0.0000 0.5000
Ru1 Ru 0.0000 0.5000 0.0000
```


# 4
Structure and theoretical powder X-ray diffraction pattern of PrBi3 (a structure optimized by DFT (PBE); CuKα).

Top 8 peaks for 2θ from 10° to 90°, by intensity:
index  d_spacing  2θ (°)  I_rel
1 1 2  2.877  31.08  100
2 0 0  2.380  37.81  30
2 0 4  1.806  50.54  26
3 1 2  1.452  64.12  26
0 0 4  2.773  32.28  23
1 1 6  1.620  56.81  19
3 1 6  1.167  82.67  13
2 2 4  1.439  64.81  13

Structural model:
```
data_PrBi3
_symmetry_space_group_name_H-M 'I 4/m m m'
_symmetry_Int_Tables_number 139
_symmetry_space_group_name_Hall '-I 4 2'
_cell_length_a 4.7591
_cell_length_b 4.7591
_cell_length_c 11.0939
_cell_angle_alpha 90.00
_cell_angle_beta 90.00
_cell_angle_gamma 90.00
loop_
_atom_site_label
_atom_site_type_symbol
_atom_site_fract_x
_atom_site_fract_y
_atom_site_fract_z
Pr1 Pr 0.0000 0.0000 0.0000
Bi1 Bi 0.0000 0.0000 0.5000
Bi2 Bi 0.0000 0.5000 0.2500
```


# 5
Structure and theoretical powder X-ray diffraction pattern of Mg6CdSn (a structure optimized by DFT (PBE); CuKα).

Top 8 peaks for 2θ from 10° to 90°, by intensity:
index  d_spacing  2θ (°)  I_rel
1 2 2  2.419  37.17  100
0 1 1  5.463  16.23  72
1 1 3  2.729  32.81  55
1 0 4  2.463  36.48  41
1 0 2  3.811  23.34  39
2 0 0  2.605  34.43  39
1 1 1  3.770  23.60  28
2 2 6  1.364  68.81  22

Structural model:
```
data_Mg6CdSn
_symmetry_space_group_name_H-M 'A m m 2'
_symmetry_Int_Tables_number 38
_symmetry_space_group_name_Hall 'A 2 -2'
_cell_length_a 5.2096
_cell_length_b 6.2610
_cell_length_c 11.1810
_cell_angle_alpha 90.00
_cell_angle_beta 90.00
_cell_angle_gamma 90.00
loop_
_atom_site_label
_atom_site_type_symbol
_atom_site_fract_x
_atom_site_fract_y
_atom_site_fract_z
Mg1 Mg 0.0000 0.0000 0.0000
Mg2 Mg 0.0000 0.2467 0.2483
Mg3 Mg 0.5000 0.0000 0.1643
Mg4 Mg 0.5000 0.2488 0.4171
Cd1 Cd 0.0000 0.0000 0.4871
Sn1 Sn 0.5000 0.0000 0.6700
```


# 6
Structure and theoretical powder X-ray diffraction pattern of Li3Cu3P2O8 (a structure optimized by DFT (PBE); CuKα).

Top 8 peaks for 2θ from 10° to 90°, by intensity:
index  d_spacing  2θ (°)  I_rel
0 0 2  3.121  28.60  100
0 1 -1  4.087  21.75  63
1 -2 0  2.393  37.58  41
-1 2 1  2.236  40.33  34
2 0 1  2.367  38.02  33
1 2 0  2.384  37.73  32
-1 1 1  3.199  27.89  30
1 2 -1  2.227  40.50  30

Structural model:
```
data_Li3Cu3P2O8
_symmetry_space_group_name_H-M 'P 1'
_symmetry_Int_Tables_number 1
_symmetry_space_group_name_Hall 'P 1'
_cell_length_a 5.1157
_cell_length_b 5.4056
_cell_length_c 6.2429
_cell_angle_alpha 90.15
_cell_angle_beta 90.08
_cell_angle_gamma 90.32
loop_
_atom_site_label
_atom_site_type_symbol
_atom_site_fract_x
_atom_site_fract_y
_atom_site_fract_z
Li1 Li 0.0000 0.0000 0.0000
Li2 Li 0.1722 0.7517 0.4977
Li3 Li 0.6528 0.4977 0.4971
Cu1 Cu 0.5095 0.2515 0.9979
Cu2 Cu 0.6629 0.0124 0.4969
Cu3 Cu 0.9948 0.5009 0.0094
P1 P 0.1464 0.2512 0.5021
P2 P 0.4960 0.7513 0.0027
O1 O 0.0087 0.4581 0.4113
O2 O 0.0279 0.0431 0.3862
O3 O 0.1373 0.2395 0.8049
O4 O 0.2280 0.7639 0.8932
O5 O 0.4222 0.2640 0.4085
O6 O 0.4960 0.7403 0.3057
O7 O 0.6276 0.5501 0.8828
O8 O 0.6477 0.9522 0.9098
```


# 7
Structure and theoretical powder X-ray diffraction pattern of SiO2 (a structure optimized by DFT (PBE); CuKα).

Top 8 peaks for 2θ from 10° to 90°, by intensity:
index  d_spacing  2θ (°)  I_rel
0 0 2  4.405  20.16  100
1 1 0  4.375  20.30  73
0 1 1  6.231  14.22  23
0 3 1  2.787  32.12  16
2 0 0  2.520  35.62  12
1 2 1  3.109  28.72  12
1 3 0  2.538  35.37  10
1 2 0  3.319  26.86  10

Structural model:
```
data_SiO2
_symmetry_space_group_name_H-M 'P n n m'
_symmetry_Int_Tables_number 58
_symmetry_space_group_name_Hall '-P 2 2n'
_cell_length_a 5.0405
_cell_length_b 8.8204
_cell_length_c 8.8024
_cell_angle_alpha 90.00
_cell_angle_beta 90.00
_cell_angle_gamma 90.00
loop_
_atom_site_label
_atom_site_type_symbol
_atom_site_fract_x
_atom_site_fract_y
_atom_site_fract_z
Si1 Si 0.0639 0.1748 0.1805
O1 O 0.0000 0.0000 0.2252
O2 O 0.0164 0.2017 0.0000
O3 O 0.1291 0.7122 0.2761
```


# 8
Structure and theoretical powder X-ray diffraction pattern of Cs3AsI6 (a structure optimized by DFT (PBE); CuKα).

Top 8 peaks for 2θ from 10° to 90°, by intensity:
index  d_spacing  2θ (°)  I_rel
4 0 0  3.248  27.46  100
2 2 2  3.751  23.72  82
4 4 0  2.297  39.22  68
6 2 2  1.959  46.35  29
8 4 0  1.453  64.10  24
4 4 4  1.875  48.54  22
2 2 0  4.594  19.32  21
2 0 0  6.497  13.63  18

Structural model:
```
data_Cs3AsI6
_symmetry_space_group_name_H-M 'F m -3 m'
_symmetry_Int_Tables_number 225
_symmetry_space_group_name_Hall '-F 4 2 3'
_cell_length_a 12.9932
_cell_length_b 12.9932
_cell_length_c 12.9932
_cell_angle_alpha 90.00
_cell_angle_beta 90.00
_cell_angle_gamma 90.00
loop_
_atom_site_label
_atom_site_type_symbol
_atom_site_fract_x
_atom_site_fract_y
_atom_site_fract_z
Cs1 Cs 0.0000 0.0000 0.0000
Cs2 Cs 0.2500 0.2500 0.2500
As1 As 0.0000 0.0000 0.5000
I1 I 0.0000 0.0000 0.2783
```